ErCdRh2: calculated powder X-ray diffraction pattern (copper Kα), based on a PBE-relaxed structure.
Peak positions follow from Bragg's law for the DFT cell and can differ from measured ones.

Crystal structure
Lattice parameters (Å, degrees): 6.620 6.620 6.620 90.00 90.00 90.00
Positions (direct):
Er: 0.000 0.000 0.000
Er: 0.000 0.500 0.500
Er: 0.500 0.000 0.500
Er: 0.500 0.500 0.000
Cd: 0.000 0.000 0.500
Cd: 0.000 0.500 0.000
Cd: 0.500 0.000 0.000
Cd: 0.500 0.500 0.500
Rh: 0.250 0.250 0.250
Rh: 0.250 0.250 0.750
Rh: 0.250 0.750 0.250
Rh: 0.250 0.750 0.750
Rh: 0.750 0.250 0.250
Rh: 0.750 0.250 0.750
Rh: 0.750 0.750 0.250
Rh: 0.750 0.750 0.750

Top 6 peaks for 10 to 90 degrees two-theta, sorted by position:
23.3°, I = 2; 26.9°, I = 2; 38.5°, I = 100; 55.5°, I = 17; 69.6°, I = 34; 82.4°, I = 11


SmTlO2: calculated powder X-ray diffraction pattern (copper Kα), based on a PBE-relaxed structure.
Peak positions follow from Bragg's law for the DFT cell and can differ from measured ones.

Crystal structure
Lattice parameters (Å, degrees): 3.612 3.612 19.532 90.00 90.00 120.00
Positions (direct):
Sm: 0.000 0.000 0.000
Sm: 0.333 0.667 0.667
Sm: 0.667 0.333 0.333
Tl: 0.000 0.000 0.500
Tl: 0.333 0.667 0.167
Tl: 0.667 0.333 0.833
O: 0.000 0.000 0.275
O: 0.000 0.000 0.725
O: 0.333 0.667 0.392
O: 0.333 0.667 0.941
O: 0.667 0.333 0.059
O: 0.667 0.333 0.608

Top 6 peaks for 10 to 90 degrees two-theta, sorted by position:
27.4°, I = 44; 30.0°, I = 98; 34.0°, I = 100; 47.2°, I = 37; 50.5°, I = 33; 58.4°, I = 34


BaZrP2: calculated powder X-ray diffraction pattern (copper Kα), based on a PBE-relaxed structure.
Peak positions follow from Bragg's law for the DFT cell and can differ from measured ones.

Crystal structure
Lattice parameters (Å, degrees): 3.950 3.950 15.370 90.00 90.00 120.00
Positions (direct):
Ba: 0.000 0.000 0.000
Ba: 0.000 0.000 0.500
Zr: 0.000 0.000 0.250
Zr: 0.000 0.000 0.750
P: 0.333 0.667 0.151
P: 0.333 0.667 0.349
P: 0.667 0.333 0.651
P: 0.667 0.333 0.849

Top 6 peaks for 10 to 90 degrees two-theta, sorted by position:
23.1°, I = 23; 26.0°, I = 65; 35.1°, I = 100; 45.9°, I = 29; 54.8°, I = 20; 59.1°, I = 24


Ba2Zn3F10: calculated powder X-ray diffraction pattern (copper Kα), based on a PBE-relaxed structure.
Peak positions follow from Bragg's law for the DFT cell and can differ from measured ones.

Crystal structure
Lattice parameters (Å, degrees): 9.968 9.968 8.042 110.52 110.52 35.79
Positions (direct):
Ba: 0.115 0.115 0.220
Ba: 0.217 0.217 0.814
Ba: 0.783 0.783 0.186
Ba: 0.885 0.885 0.780
Zn: 0.243 0.757 0.500
Zn: 0.323 0.323 0.481
Zn: 0.425 0.425 0.046
Zn: 0.575 0.575 0.954
Zn: 0.677 0.677 0.519
Zn: 0.757 0.243 0.500
F: 0.000 0.500 0.500
F: 0.017 0.017 0.685
F: 0.110 0.589 0.021
F: 0.123 0.652 0.473
F: 0.262 0.262 0.218
F: 0.276 0.724 0.000
F: 0.348 0.877 0.527
F: 0.364 0.364 0.753
F: 0.411 0.890 0.979
F: 0.478 0.478 0.319
F: 0.500 0.000 0.500
F: 0.522 0.522 0.681
F: 0.589 0.110 0.021
F: 0.636 0.636 0.247
F: 0.652 0.123 0.473
F: 0.724 0.276 0.000
F: 0.738 0.738 0.782
F: 0.877 0.348 0.527
F: 0.890 0.411 0.979
F: 0.983 0.983 0.315

Top 6 peaks for 10 to 90 degrees two-theta, sorted by position:
26.8°, I = 100; 27.3°, I = 58; 28.2°, I = 54; 29.2°, I = 27; 38.0°, I = 28; 41.0°, I = 52


Sm11Sn10: calculated powder X-ray diffraction pattern (copper Kα), based on a PBE-relaxed structure.
Peak positions follow from Bragg's law for the DFT cell and can differ from measured ones.

Crystal structure
Lattice parameters (Å, degrees): 12.135 12.135 12.135 121.46 121.46 87.48
Positions (direct):
Sm: 0.059 0.310 0.749
Sm: 0.102 0.430 0.328
Sm: 0.102 0.775 0.672
Sm: 0.162 0.162 0.000
Sm: 0.225 0.898 0.328
Sm: 0.310 0.059 0.749
Sm: 0.310 0.562 0.251
Sm: 0.325 0.325 0.650
Sm: 0.325 0.675 0.000
Sm: 0.430 0.102 0.328
Sm: 0.438 0.690 0.749
Sm: 0.562 0.310 0.251
Sm: 0.570 0.898 0.672
Sm: 0.675 0.325 0.000
Sm: 0.675 0.675 0.350
Sm: 0.690 0.438 0.749
Sm: 0.690 0.941 0.251
Sm: 0.775 0.102 0.672
Sm: 0.838 0.838 0.000
Sm: 0.898 0.225 0.328
Sm: 0.898 0.570 0.672
Sm: 0.941 0.690 0.251
Sn: 0.030 0.030 0.415
Sn: 0.030 0.615 0.000
Sn: 0.127 0.127 0.255
Sn: 0.127 0.873 0.000
Sn: 0.141 0.500 0.641
Sn: 0.250 0.750 0.500
Sn: 0.385 0.385 0.415
Sn: 0.385 0.970 0.000
Sn: 0.389 0.389 0.000
Sn: 0.500 0.141 0.641
Sn: 0.500 0.859 0.359
Sn: 0.611 0.611 0.000
Sn: 0.615 0.030 0.000
Sn: 0.615 0.615 0.585
Sn: 0.750 0.250 0.500
Sn: 0.859 0.500 0.359
Sn: 0.873 0.127 0.000
Sn: 0.873 0.873 0.745
Sn: 0.970 0.385 0.000
Sn: 0.970 0.970 0.585

Top 6 peaks for 10 to 90 degrees two-theta, sorted by position:
30.6°, I = 100; 31.2°, I = 95; 31.4°, I = 46; 31.8°, I = 52; 32.0°, I = 68; 34.2°, I = 65


Dy4MgNi: calculated powder X-ray diffraction pattern (copper Kα), based on a PBE-relaxed structure.
Peak positions follow from Bragg's law for the DFT cell and can differ from measured ones.

Crystal structure
Lattice parameters (Å, degrees): 9.638 9.638 9.638 60.00 60.00 60.00
Positions (direct):
Dy: 0.185 0.185 0.815
Dy: 0.185 0.815 0.185
Dy: 0.185 0.815 0.815
Dy: 0.404 0.404 0.404
Dy: 0.404 0.404 0.788
Dy: 0.404 0.788 0.404
Dy: 0.563 0.563 0.937
Dy: 0.563 0.937 0.563
Dy: 0.563 0.937 0.937
Dy: 0.788 0.404 0.404
Dy: 0.815 0.185 0.185
Dy: 0.815 0.185 0.815
Dy: 0.815 0.815 0.185
Dy: 0.937 0.563 0.563
Dy: 0.937 0.563 0.937
Dy: 0.937 0.937 0.563
Mg: 0.170 0.170 0.170
Mg: 0.170 0.170 0.490
Mg: 0.170 0.490 0.170
Mg: 0.490 0.170 0.170
Ni: 0.175 0.608 0.608
Ni: 0.608 0.175 0.608
Ni: 0.608 0.608 0.175
Ni: 0.608 0.608 0.608

Top 6 peaks for 10 to 90 degrees two-theta, sorted by position:
28.5°, I = 57; 32.2°, I = 65; 34.2°, I = 100; 37.3°, I = 28; 55.2°, I = 19; 57.4°, I = 59


What did the third record say?
BaZrP2: calculated powder X-ray diffraction pattern (copper Kα), based on a PBE-relaxed structure.
Peak positions follow from Bragg's law for the DFT cell and can differ from measured ones.

Crystal structure
Lattice parameters (Å, degrees): 3.950 3.950 15.370 90.00 90.00 120.00
Positions (direct):
Ba: 0.000 0.000 0.000
Ba: 0.000 0.000 0.500
Zr: 0.000 0.000 0.250
Zr: 0.000 0.000 0.750
P: 0.333 0.667 0.151
P: 0.333 0.667 0.349
P: 0.667 0.333 0.651
P: 0.667 0.333 0.849

Top 6 peaks for 10 to 90 degrees two-theta, sorted by position:
23.1°, I = 23; 26.0°, I = 65; 35.1°, I = 100; 45.9°, I = 29; 54.8°, I = 20; 59.1°, I = 24